1.
Starting from a crystal structure in Alexandria, relaxed with PBE, the X-ray diffraction stick pattern of V3Ir5 was calculated for Cu Kα (λ = 1.5418 Å).
Neutral-atom scattering factors, no anomalous dispersion.

Structure:
Cell lengths 5.413, 10.802, 3.851 Å; angles 90.00, 90.00, 90.00 degrees
Atoms (fractional coordinates):
V 0.000 0.000 0.000
V 0.230 0.371 0.500
V 0.270 0.871 0.500
V 0.500 0.500 0.000
V 0.730 0.129 0.500
V 0.770 0.629 0.500
Ir 0.000 0.500 0.000
Ir 0.016 0.752 0.000
Ir 0.234 0.121 0.500
Ir 0.266 0.621 0.500
Ir 0.484 0.252 0.000
Ir 0.500 0.000 0.000
Ir 0.516 0.748 0.000
Ir 0.734 0.379 0.500
Ir 0.766 0.879 0.500
Ir 0.984 0.248 0.000

Peak list (8 most intense, 2θ = 10–90°, low angle first)
two_theta	I/Imax
23.27	13
33.02	12
40.78	100
47.21	17
47.57	32
69.26	20
83.35	13
83.94	12

2.
Starting from a crystal structure in Alexandria, relaxed with PBE, the X-ray diffraction stick pattern of AcMn2PN2 was calculated for Cu Kα (λ = 1.5418 Å).
Neutral-atom scattering factors, no anomalous dispersion.

Structure:
Cell lengths 6.144, 4.783, 6.978 Å; angles 90.00, 110.16, 90.00 degrees
Atoms (fractional coordinates):
Ac 0.181 0.250 0.336
Ac 0.819 0.750 0.664
Mn 0.360 0.000 0.805
Mn 0.360 0.500 0.805
Mn 0.640 0.000 0.195
Mn 0.640 0.500 0.195
P 0.306 0.750 0.063
P 0.694 0.250 0.937
N 0.134 0.250 0.700
N 0.382 0.750 0.621
N 0.618 0.250 0.379
N 0.866 0.750 0.300

Peak list (8 most intense, 2θ = 10–90°, low angle first)
two_theta	I/Imax
23.03	96
24.17	83
25.00	100
26.26	46
29.22	72
33.15	65
36.38	47
38.68	63

3.
Starting from a crystal structure in Alexandria, relaxed with PBE, the X-ray diffraction stick pattern of Sm2Ho4Se9 was calculated for Cu Kα (λ = 1.5418 Å).
Neutral-atom scattering factors, no anomalous dispersion.

Structure:
Cell lengths 7.237, 7.239, 19.519 Å; angles 89.99, 89.97, 60.05 degrees
Atoms (fractional coordinates):
Sm 0.000 0.001 0.150
Sm 0.000 0.999 0.850
Sm 0.001 0.998 0.350
Sm 0.999 0.002 0.650
Ho 0.332 0.334 0.818
Ho 0.333 0.334 0.014
Ho 0.334 0.333 0.318
Ho 0.334 0.333 0.513
Ho 0.666 0.667 0.487
Ho 0.666 0.667 0.682
Ho 0.667 0.666 0.986
Ho 0.668 0.666 0.182
Se 0.001 0.309 0.250
Se 0.027 0.342 0.917
Se 0.027 0.629 0.417
Se 0.309 0.000 0.750
Se 0.309 0.690 0.250
Se 0.344 0.629 0.916
Se 0.345 0.025 0.416
Se 0.369 0.657 0.584
Se 0.372 0.973 0.084
Se 0.628 0.027 0.916
Se 0.631 0.343 0.416
Se 0.655 0.975 0.584
Se 0.656 0.371 0.084
Se 0.691 0.000 0.250
Se 0.691 0.310 0.750
Se 0.973 0.371 0.583
Se 0.973 0.658 0.083
Se 0.999 0.691 0.750

Peak list (8 most intense, 2θ = 10–90°, low angle first)
two_theta	I/Imax
16.81	42
23.10	57
24.59	40
28.21	58
33.99	38
37.16	100
42.40	34
43.29	63

4.
Starting from a crystal structure in Alexandria, relaxed with PBE, the X-ray diffraction stick pattern of Pm2Sm2Al3 was calculated for Cu Kα (λ = 1.5418 Å).
Neutral-atom scattering factors, no anomalous dispersion.

Structure:
Cell lengths 3.493, 31.211, 3.477 Å; angles 90.00, 90.00, 90.00 degrees
Atoms (fractional coordinates):
Pm 0.000 0.066 0.000
Pm 0.000 0.934 0.000
Pm 0.500 0.434 0.000
Pm 0.500 0.566 0.000
Sm 0.000 0.196 0.000
Sm 0.000 0.804 0.000
Sm 0.500 0.304 0.000
Sm 0.500 0.696 0.000
Al 0.000 0.367 0.500
Al 0.000 0.500 0.500
Al 0.000 0.633 0.500
Al 0.500 0.000 0.500
Al 0.500 0.133 0.500
Al 0.500 0.867 0.500

Peak list (8 most intense, 2θ = 10–90°, low angle first)
two_theta	I/Imax
22.79	71
25.64	100
32.56	78
34.55	87
36.57	80
41.89	41
58.03	50
64.28	29

5.
Starting from a crystal structure in Alexandria, relaxed with PBE, the X-ray diffraction stick pattern of SrInF6 was calculated for Cu Kα (λ = 1.5418 Å).
Neutral-atom scattering factors, no anomalous dispersion.

Structure:
Cell lengths 4.049, 6.800, 9.526 Å; angles 90.00, 90.00, 90.00 degrees
Atoms (fractional coordinates):
Sr 0.000 0.000 0.000
Sr 0.000 0.500 0.500
In 0.500 0.000 0.372
In 0.500 0.500 0.872
F 0.000 0.000 0.313
F 0.000 0.143 0.583
F 0.000 0.357 0.083
F 0.000 0.500 0.813
F 0.000 0.643 0.083
F 0.000 0.857 0.583
F 0.500 0.000 0.150
F 0.500 0.203 0.900
F 0.500 0.297 0.400
F 0.500 0.500 0.650
F 0.500 0.703 0.400
F 0.500 0.797 0.900

Peak list (8 most intense, 2θ = 10–90°, low angle first)
two_theta	I/Imax
16.01	84
18.63	67
26.21	53
27.29	100
28.94	66
31.08	51
44.12	37
46.92	50

6.
Starting from a crystal structure in Alexandria, relaxed with PBE, the X-ray diffraction stick pattern of Sm5Dy3Th2 was calculated for Cu Kα (λ = 1.5418 Å).
Neutral-atom scattering factors, no anomalous dispersion.

Structure:
Cell lengths 10.230, 10.230, 9.014 Å; angles 108.67, 108.67, 115.75 degrees
Atoms (fractional coordinates):
Sm 0.030 0.970 0.750
Sm 0.132 0.368 0.752
Sm 0.221 0.779 0.750
Sm 0.278 0.722 0.250
Sm 0.368 0.132 0.252
Sm 0.632 0.868 0.748
Sm 0.722 0.278 0.750
Sm 0.779 0.221 0.250
Sm 0.868 0.632 0.248
Sm 0.970 0.030 0.250
Dy 0.022 0.268 0.040
Dy 0.268 0.022 0.540
Dy 0.467 0.533 0.250
Dy 0.533 0.467 0.750
Dy 0.732 0.978 0.460
Dy 0.978 0.732 0.960
Th 0.242 0.487 0.479
Th 0.487 0.242 0.979
Th 0.513 0.758 0.021
Th 0.758 0.513 0.521

Peak list (8 most intense, 2θ = 10–90°, low angle first)
two_theta	I/Imax
20.50	21
29.13	61
31.55	100
32.34	22
32.93	41
35.19	26
57.93	18
61.82	29

7.
Starting from a crystal structure in Alexandria, relaxed with PBE, the X-ray diffraction stick pattern of Cs3Na2US6 was calculated for Cu Kα (λ = 1.5418 Å).
Neutral-atom scattering factors, no anomalous dispersion.

Structure:
Cell lengths 7.421, 7.421, 8.203 Å; angles 98.32, 98.32, 120.06 degrees
Atoms (fractional coordinates):
Cs 0.000 0.000 0.000
Cs 0.320 0.680 0.000
Cs 0.680 0.320 0.000
Na 0.165 0.835 0.500
Na 0.835 0.165 0.500
U 0.500 0.500 0.500
S 0.150 0.437 0.318
S 0.281 0.281 0.693
S 0.437 0.150 0.318
S 0.563 0.850 0.682
S 0.719 0.719 0.307
S 0.850 0.563 0.682

Peak list (8 most intense, 2θ = 10–90°, low angle first)
two_theta	I/Imax
14.25	35
15.79	36
22.65	35
25.21	45
28.35	100
28.61	50
39.18	34
42.20	48

8.
Starting from a crystal structure in Alexandria, relaxed with PBE, the X-ray diffraction stick pattern of Mn2V2Ga was calculated for Cu Kα (λ = 1.5418 Å).
Neutral-atom scattering factors, no anomalous dispersion.

Structure:
Cell lengths 4.811, 4.831, 5.972 Å; angles 71.28, 71.24, 83.85 degrees
Atoms (fractional coordinates):
Mn 0.000 0.000 0.000
Mn 0.176 0.411 0.081
Mn 0.392 0.789 0.183
Mn 0.790 0.594 0.380
V 0.174 0.414 0.578
V 0.389 0.781 0.695
V 0.569 0.196 0.275
V 0.784 0.608 0.905
Ga 0.585 0.203 0.794
Ga 0.992 0.994 0.469

Peak list (8 most intense, 2θ = 10–90°, low angle first)
two_theta	I/Imax
43.27	100
43.41	99
43.78	97
43.97	97
44.23	96
44.51	93
62.19	29
64.55	55